The following is a computed X-ray powder pattern of Li5AgAu6. It was derived from a crystal structure in Alexandria, relaxed with GGA-PBE, using CuKα.

Crystal structure
Unit cell a=4.2651 b=6.6131 c=6.9852 alpha=90.12 beta=90.18 gamma=103.82
Positions (direct):
Li: 0.0000 0.0000 0.0000
Li: 0.3264 0.6636 0.0003
Li: 0.3349 0.6785 0.4997
Li: 0.6651 0.3215 0.5003
Li: 0.6736 0.3364 0.9997
Ag: 0.0000 0.0000 0.5000
Au: 0.1758 0.3416 0.2435
Au: 0.1765 0.3419 0.7573
Au: 0.4986 0.9991 0.7749
Au: 0.5014 0.0009 0.2251
Au: 0.8235 0.6581 0.2427
Au: 0.8242 0.6584 0.7565

Largest 6 diffraction maxima, most intense first, 2θ = 5–70°:
2theta	d (Å)	I_rel
25.50	3.493	100
40.48	2.229	98
28.30	3.154	80
30.89	2.894	65
38.37	2.346	56
38.54	2.336	56

---

The following is a computed X-ray powder pattern of Ti2Cu4S5. It was derived from a crystal structure in Alexandria, relaxed with GGA-PBE, using CuKα.

Crystal structure
Unit cell a=15.6280 b=15.6280 c=15.6280 alpha=13.37 beta=13.37 gamma=13.37
Positions (direct):
Ti: 0.1396 0.1396 0.1396
Ti: 0.8604 0.8604 0.8604
Cu: 0.3135 0.3135 0.3135
Cu: 0.4169 0.4169 0.4169
Cu: 0.5831 0.5831 0.5831
Cu: 0.6865 0.6865 0.6865
S: 0.2268 0.2268 0.2268
S: 0.3687 0.3687 0.3687
S: 0.5000 0.5000 0.5000
S: 0.6313 0.6313 0.6313
S: 0.7732 0.7732 0.7732

Largest 6 diffraction maxima, most intense first, 2θ = 5–70°:
2theta	d (Å)	I_rel
35.54	2.526	100
50.14	1.819	69
28.39	3.144	43
52.14	1.754	35
29.37	3.041	22
34.76	2.581	18

---

The following is a computed X-ray powder pattern of Ta2AsW2. It was derived from a crystal structure in Alexandria, relaxed with GGA-PBE, using CuKα.

Crystal structure
Unit cell a=6.5631 b=6.5631 c=6.5631 alpha=143.02 beta=143.02 gamma=53.29
Positions (direct):
Ta: 0.2500 0.7500 0.5000
Ta: 0.7500 0.2500 0.5000
As: 0.0000 0.0000 0.0000
W: 0.3918 0.3918 0.0000
W: 0.6082 0.6082 0.0000

Largest 6 diffraction maxima, most intense first, 2θ = 5–70°:
2theta	d (Å)	I_rel
43.53	2.079	100
34.08	2.631	74
22.67	3.923	33
44.31	2.044	25
31.39	2.850	20
15.10	5.866	20

---

The following is a computed X-ray powder pattern of Gd2B5. It was derived from a crystal structure in Alexandria, relaxed with GGA-PBE, using CuKα.

Crystal structure
Unit cell a=7.1543 b=7.1520 c=7.1783 alpha=90.00 beta=102.38 gamma=90.00
Positions (direct):
Gd: 0.2341 0.1922 0.1306
Gd: 0.2341 0.3078 0.6306
Gd: 0.2414 0.6851 0.2552
Gd: 0.2414 0.8149 0.7552
Gd: 0.7586 0.1851 0.2448
Gd: 0.7586 0.3149 0.7448
Gd: 0.7659 0.6922 0.3694
Gd: 0.7659 0.8078 0.8694
B: 0.0770 0.5070 0.9288
B: 0.0770 0.9930 0.4288
B: 0.3154 0.5016 0.9616
B: 0.3154 0.9984 0.4616
B: 0.4970 0.5384 0.8259
B: 0.4970 0.9616 0.3259
B: 0.4976 0.1736 0.4604
B: 0.4976 0.3264 0.9604
B: 0.4988 0.5895 0.5894
B: 0.4988 0.9105 0.0894
B: 0.5012 0.0895 0.9106
B: 0.5012 0.4105 0.4106
B: 0.5024 0.6736 0.0396
B: 0.5024 0.8264 0.5396
B: 0.5030 0.0384 0.6741
B: 0.5030 0.4616 0.1741
B: 0.6846 0.0016 0.5384
B: 0.6846 0.4984 0.0384
B: 0.9230 0.0070 0.5712
B: 0.9230 0.4930 0.0712

Largest 6 diffraction maxima, most intense first, 2θ = 5–70°:
2theta	d (Å)	I_rel
25.48	3.496	100
35.92	2.500	54
28.01	3.186	53
36.25	2.478	42
24.90	3.576	41
40.11	2.248	35

---

The following is a computed X-ray powder pattern of La6Dy2Ho5. It was derived from a crystal structure in Alexandria, relaxed with GGA-PBE, using CuKα.

Crystal structure
Unit cell a=11.7839 b=20.8709 c=3.6437 alpha=90.00 beta=90.00 gamma=90.00
Positions (direct):
La: 0.0590 0.0801 0.0000
La: 0.0820 0.3669 0.0000
La: 0.1734 0.6347 0.5000
La: 0.3266 0.1347 0.5000
La: 0.4180 0.8669 0.0000
La: 0.4410 0.5801 0.0000
La: 0.5590 0.4199 0.0000
La: 0.5820 0.1331 0.0000
La: 0.6734 0.8653 0.5000
La: 0.8266 0.3653 0.5000
La: 0.9180 0.6331 0.0000
La: 0.9410 0.9199 0.0000
Dy: 0.1641 0.7904 0.0000
Dy: 0.3359 0.2904 0.0000
Dy: 0.6641 0.7096 0.0000
Dy: 0.8359 0.2096 0.0000
Ho: 0.0000 0.5000 0.5000
Ho: 0.0943 0.2267 0.5000
Ho: 0.2000 0.9427 0.5000
Ho: 0.3000 0.4427 0.5000
Ho: 0.4057 0.7267 0.5000
Ho: 0.5000 0.0000 0.5000
Ho: 0.5943 0.2733 0.5000
Ho: 0.7000 0.5573 0.5000
Ho: 0.8000 0.0573 0.5000
Ho: 0.9057 0.7733 0.5000

Largest 6 diffraction maxima, most intense first, 2θ = 5–70°:
2theta	d (Å)	I_rel
30.91	2.893	100
31.60	2.831	96
30.65	2.917	44
36.03	2.492	33
33.64	2.664	32
50.07	1.822	18

---

The following is a computed X-ray powder pattern of CdCoPb. It was derived from a crystal structure in Alexandria, relaxed with GGA-PBE, using CuKα.

Crystal structure
Unit cell a=6.2873 b=6.2873 c=6.2873 alpha=150.16 beta=150.16 gamma=42.71
Positions (direct):
Cd: 0.0000 0.0000 0.0000
Co: 0.6307 0.6307 0.0000
Pb: 0.2711 0.2711 0.0000

Largest 6 diffraction maxima, most intense first, 2θ = 5–70°:
2theta	d (Å)	I_rel
36.04	2.492	100
39.35	2.290	52
28.60	3.121	44
69.20	1.358	29
50.61	1.804	22
30.53	2.928	21